Entry 1:
Starting from the PBE geometry in Alexandria, the powder diffraction line list of Ac3PmNd8 was computed for copper Kα.

Structural model:
a b c (Å): 9.0786 9.0786 9.0786
angles (deg): 136.58 98.89 96.84
Fractional coordinates of all 12 atoms:
Ac 0.0000 0.0000 0.0000
Ac 0.2554 0.5000 0.7554
Ac 0.7446 0.5000 0.2446
Pm 0.5000 0.0000 0.5000
Nd 0.0795 0.8268 0.2527
Nd 0.2612 0.0188 0.7577
Nd 0.2612 0.5035 0.2423
Nd 0.4258 0.1732 0.2527
Nd 0.5742 0.8268 0.7473
Nd 0.7388 0.4965 0.7577
Nd 0.7388 0.9812 0.2423
Nd 0.9205 0.1732 0.7473

Main lines, sorted by position (2θ from 5° to 70°):
21.4°, I 34; 30.0°, I 100; 30.3°, I 49; 30.5°, I 27; 30.6°, I 37; 34.1°, I 25; 43.5°, I 21; 49.1°, I 25; 53.6°, I 20; 62.4°, I 25

---

Entry 2:
Starting from the PBE geometry in Alexandria, the powder diffraction line list of Ac3Pm3Nd2 was computed for copper Kα.

Structural model:
a b c (Å): 10.2379 10.2379 6.8728
angles (deg): 90.00 90.00 120.00
Fractional coordinates of all 16 atoms:
Ac 0.0000 0.2322 0.2500
Ac 0.0000 0.7678 0.7500
Ac 0.2322 0.0000 0.2500
Ac 0.2322 0.2322 0.7500
Ac 0.7678 0.0000 0.7500
Ac 0.7678 0.7678 0.2500
Pm 0.0000 0.4135 0.7500
Pm 0.0000 0.5865 0.2500
Pm 0.4135 0.0000 0.7500
Pm 0.4135 0.4135 0.2500
Pm 0.5865 0.0000 0.2500
Pm 0.5865 0.5865 0.7500
Nd 0.3333 0.6667 0.0000
Nd 0.3333 0.6667 0.5000
Nd 0.6667 0.3333 0.0000
Nd 0.6667 0.3333 0.5000

Main lines, sorted by position (2θ from 5° to 70°):
25.9°, I 17; 26.6°, I 30; 29.7°, I 100; 30.2°, I 15; 31.4°, I 39; 48.1°, I 27; 48.9°, I 16; 55.5°, I 13; 58.6°, I 17; 60.6°, I 14

---

Entry 3:
Starting from the PBE geometry in Alexandria, the powder diffraction line list of Ac2Pm6Nd5 was computed for copper Kα.

Structural model:
a b c (Å): 12.1850 21.0426 3.7221
angles (deg): 90.00 90.00 90.00
Fractional coordinates of all 26 atoms:
Ac 0.1679 0.2212 0.0000
Ac 0.3321 0.7212 0.0000
Ac 0.6679 0.2788 0.0000
Ac 0.8321 0.7788 0.0000
Pm 0.0601 0.9255 0.0000
Pm 0.0723 0.6378 0.0000
Pm 0.1833 0.3783 0.5000
Pm 0.3167 0.8783 0.5000
Pm 0.4277 0.1378 0.0000
Pm 0.4399 0.4255 0.0000
Pm 0.5601 0.5745 0.0000
Pm 0.5723 0.8622 0.0000
Pm 0.6833 0.1217 0.5000
Pm 0.8167 0.6217 0.5000
Pm 0.9277 0.3622 0.0000
Pm 0.9399 0.0745 0.0000
Nd 0.0000 0.5000 0.5000
Nd 0.0915 0.7833 0.5000
Nd 0.2020 0.0545 0.5000
Nd 0.2980 0.5545 0.5000
Nd 0.4085 0.2833 0.5000
Nd 0.5000 0.0000 0.5000
Nd 0.5915 0.7167 0.5000
Nd 0.7020 0.4455 0.5000
Nd 0.7980 0.9455 0.5000
Nd 0.9085 0.2167 0.5000

Main lines, sorted by position (2θ from 5° to 70°):
25.4°, I 23; 26.4°, I 29; 29.6°, I 63; 30.3°, I 45; 30.6°, I 98; 30.9°, I 100; 32.9°, I 40; 33.8°, I 25; 35.1°, I 29; 58.8°, I 35